[1]
The following is a simulated powder XRD pattern of BaCo2Sn8. It was derived from a cell relaxed with GGA-PBE, using Cu Kα (λ = 1.5418 Å).
Lines closer than 0.1° are merged.

Main lines, by intensity (10° ≤ 2θ ≤ 90°):
30.7°, intensity 100.0
31.3°, intensity 53.4
31.9°, intensity 38.6
44.1°, intensity 29.3
45.5°, intensity 25.8
34.5°, intensity 21.8
37.1°, intensity 18.5
32.2°, intensity 17.7
63.9°, intensity 17.3
36.3°, intensity 14.4

Atomic structure:
```
BaCo2Sn8
1.0
5.1941 -7.5918 0.0000
5.1941 7.5918 0.0000
0.0000 0.0000 14.0630
Ba Co Sn
4 8 32
Cartesian
4.6379 5.2435 0.0000 Ba
5.7504 5.2435 7.0315 Ba
4.6379 -5.2435 7.0315 Ba
5.7504 -5.2435 0.0000 Ba
4.4157 2.2211 4.6389 Co
4.4157 2.2211 9.4241 Co
5.9725 2.2211 2.3926 Co
5.9725 2.2211 11.6704 Co
4.4157 -2.2211 2.3926 Co
4.4157 -2.2211 11.6704 Co
5.9725 -2.2211 4.6389 Co
5.9725 -2.2211 9.4241 Co
0.0000 0.0000 3.5158 Sn
0.0000 0.0000 10.5473 Sn
2.5971 3.7959 5.5420 Sn
2.5971 3.7959 8.5211 Sn
3.2475 2.3099 2.3110 Sn
3.2475 2.3099 11.7520 Sn
2.4478 0.6417 5.4288 Sn
2.4478 0.6417 8.6342 Sn
5.1941 4.4587 3.5158 Sn
5.1941 4.4587 10.5473 Sn
2.4478 -0.6417 1.6027 Sn
2.4478 -0.6417 12.4603 Sn
5.0807 1.4735 7.0315 Sn
5.3075 1.4735 0.0000 Sn
3.2475 -2.3099 4.7205 Sn
3.2475 -2.3099 9.3426 Sn
2.5971 -3.7959 1.4895 Sn
2.5971 -3.7959 12.5735 Sn
5.1941 0.0000 3.5158 Sn
5.1941 0.0000 10.5473 Sn
7.1407 2.3099 4.7205 Sn
7.1407 2.3099 9.3426 Sn
5.0807 -1.4735 0.0000 Sn
5.3075 -1.4735 7.0315 Sn
7.9404 0.6417 1.6027 Sn
7.9404 0.6417 12.4603 Sn
5.1941 -4.4587 3.5158 Sn
5.1941 -4.4587 10.5473 Sn
7.9404 -0.6417 5.4288 Sn
7.9404 -0.6417 8.6342 Sn
7.1407 -2.3099 2.3110 Sn
7.1407 -2.3099 11.7520 Sn
```

***

[2]
The following is a simulated powder XRD pattern of Li2PrOsO6. It was derived from a cell relaxed with GGA-PBE, using Cu Kα (λ = 1.5418 Å).
Lines closer than 0.1° are merged.

Main lines, by intensity (10° ≤ 2θ ≤ 90°):
22.6°, intensity 100.0
31.2°, intensity 44.5
33.1°, intensity 31.0
50.7°, intensity 26.8
40.5°, intensity 20.5
53.3°, intensity 18.2
58.0°, intensity 16.9
46.2°, intensity 16.0
59.2°, intensity 10.8
54.4°, intensity 8.3

Atomic structure:
```
Li2PrOsO6
1.0
2.7046 1.5615 4.8209
-2.7046 1.5615 4.8209
0.0000 -3.1230 4.8209
Li Pr Os O
2 1 1 6
Cartesian
0.0000 0.0000 0.0000 Li
0.0000 0.0000 7.1329 Li
0.0000 0.0000 11.2009 Pr
0.0000 0.0000 4.1606 Os
-0.6319 -1.3668 5.3827 O
-1.9245 0.1691 7.9874 O
-0.8677 1.2306 5.3827 O
0.8158 -1.7513 7.9874 O
1.4996 0.1361 5.3827 O
1.1087 1.5822 7.9874 O
```